# 1
Calculated X-ray diffraction stick pattern
Compound: AcZnBr
Radiation: Cu Kα
Structure: a GGA-PBE-relaxed structure
Neutral-atom scattering factors, no anomalous dispersion.

Crystal structure
Unit cell a=4.501 b=4.501 c=11.789 alpha=90.68 beta=90.68 gamma=60.02
Element x y z (fractional)
Ac1 0.004 0.004 0.179
Ac2 0.996 0.996 0.821
Zn1 0.333 0.333 0.004
Zn2 0.667 0.667 0.996
Br1 0.326 0.326 0.657
Br2 0.674 0.674 0.343

Largest 10 diffraction maxima, most intense first, 2θ = 10–90°:
2θ (°)  I/Imax
40.07  100
32.23  76
27.53  76
32.46  65
22.81  61
27.28  39
32.58  38
32.13  37
24.09  33
68.23  28

# 2
Calculated X-ray diffraction stick pattern
Compound: CaAc3C8
Radiation: Cu Kα
Structure: a GGA-PBE-relaxed structure
Neutral-atom scattering factors, no anomalous dispersion.

Crystal structure
Unit cell a=6.769 b=6.769 c=6.769 alpha=111.63 beta=111.63 gamma=105.23
Element x y z (fractional)
Ca1 0.000 0.000 0.000
Ac1 0.250 0.750 0.500
Ac2 0.500 0.500 0.000
Ac3 0.750 0.250 0.500
C1 0.056 0.056 0.675
C2 0.135 0.625 0.000
C3 0.375 0.375 0.510
C4 0.381 0.381 0.325
C5 0.619 0.944 0.000
C6 0.625 0.135 0.000
C7 0.865 0.865 0.490
C8 0.944 0.619 0.000

Largest 10 diffraction maxima, most intense first, 2θ = 10–90°:
2θ (°)  I/Imax
27.31  100
43.60  63
23.39  60
33.32  36
15.88  21
50.48  21
66.71  17
72.09  15
53.91  15
55.96  13

# 3
Calculated X-ray diffraction stick pattern
Compound: CaAcCO5
Radiation: Cu Kα
Structure: a GGA-PBE-relaxed structure
Neutral-atom scattering factors, no anomalous dispersion.

Crystal structure
Unit cell a=5.543 b=5.543 c=7.729 alpha=90.00 beta=90.00 gamma=104.15
Element x y z (fractional)
Ca1 0.103 0.897 0.750
Ca2 0.897 0.103 0.250
Ac1 0.500 0.500 0.000
Ac2 0.500 0.500 0.500
C1 0.229 0.771 0.250
C2 0.771 0.229 0.750
O1 0.142 0.858 0.102
O2 0.142 0.858 0.398
O3 0.173 0.501 0.250
O4 0.356 0.644 0.750
O5 0.499 0.827 0.250
O6 0.501 0.173 0.750
O7 0.644 0.356 0.250
O8 0.827 0.499 0.750
O9 0.858 0.142 0.602
O10 0.858 0.142 0.898

Largest 10 diffraction maxima, most intense first, 2θ = 10–90°:
2θ (°)  I/Imax
16.49  100
28.45  90
40.95  68
33.39  59
26.16  52
30.88  39
20.31  35
47.59  28
58.89  21
50.17  18

# 4
Calculated X-ray diffraction stick pattern
Compound: Ac2CdC2N6
Radiation: Cu Kα
Structure: a GGA-PBE-relaxed structure
Neutral-atom scattering factors, no anomalous dispersion.

Crystal structure
Unit cell a=5.701 b=5.711 c=6.598 alpha=103.51 beta=110.90 gamma=100.14
Element x y z (fractional)
Ac1 0.129 0.230 0.344
Ac2 0.871 0.770 0.656
Cd1 0.500 0.500 0.000
C1 0.232 0.723 0.248
C2 0.768 0.277 0.752
N1 0.091 0.738 0.377
N2 0.172 0.825 0.080
N3 0.425 0.605 0.294
N4 0.575 0.395 0.706
N5 0.828 0.175 0.920
N6 0.909 0.262 0.623

Largest 10 diffraction maxima, most intense first, 2θ = 10–90°:
2θ (°)  I/Imax
24.42  100
27.59  71
20.38  70
28.23  45
29.80  39
26.05  38
31.90  30
32.16  29
33.67  25
17.37  24